Record 1
Diffraction record for Eu2Cr2O5. The powder X-ray diffraction pattern is computed, not measured: it uses a crystal structure in the Materials Project, relaxed with GGA+U and Cu Kα X-rays.

Atomic structure:
```
18
Lattice="-7.8764 2.8054 2.7460 7.8764 -2.8054 2.7460 7.8764 2.8054 -2.7460" Properties=species:S:1:pos:R:3 pbc="T T T"
Eu 1.7316 0.0793 0.0000
Eu 6.1448 0.0793 0.0000
Eu 1.7316 2.7261 2.7460
Eu 6.1448 2.7261 2.7460
Cr 3.9382 -0.2550 2.5804
Cr 0.0000 2.8054 0.0217
Cr 0.0000 0.0000 2.7678
Cr 3.9382 3.0604 -0.1656
O 8.0819 1.4255 -1.3667
O 7.6709 -1.3799 1.3794
O 11.8146 0.6052 0.5602
O 2.0409 2.5121 0.0936
O 5.8356 2.5121 0.0936
O -0.2055 1.3799 1.3794
O 8.0819 1.3799 1.3794
O 2.0409 0.2933 2.8396
O 5.8356 0.2933 2.8396
O -3.9382 2.2002 3.3062
```

Largest 6 diffraction maxima, low angle first, 10° ≤ 2θ ≤ 80°:
| 2theta | d_spacing | I/Imax |
| --- | --- | --- |
| 22.63 | 3.929 | 42 |
| 31.90 | 2.805 | 34 |
| 32.20 | 2.780 | 100 |
| 32.61 | 2.746 | 36 |
| 46.26 | 1.962 | 30 |
| 57.93 | 1.592 | 20 |

=====

Record 2
Diffraction record for Eu2CrSbO6. The powder X-ray diffraction pattern is computed, not measured: it uses a crystal structure in the Materials Project, relaxed with GGA+U and Cu Kα X-rays.

Atomic structure:
```
10
Lattice="0.0000 4.0073 4.0073 4.0073 0.0000 4.0073 4.0073 4.0073 0.0000" Properties=species:S:1:pos:R:3 pbc="T T T"
Eu 2.0037 2.0037 2.0037
Eu 6.0110 6.0110 6.0110
Cr 0.0000 0.0000 0.0000
Sb 4.0073 4.0073 4.0073
O 4.0073 4.0073 2.0162
O 4.0073 2.0162 4.0073
O 5.9984 4.0073 4.0073
O 2.0162 4.0073 4.0073
O 4.0073 5.9984 4.0073
O 4.0073 4.0073 5.9984
```

Largest 6 diffraction maxima, low angle first, 10° ≤ 2θ ≤ 80°:
| 2theta | d_spacing | I/Imax |
| --- | --- | --- |
| 31.57 | 2.834 | 100 |
| 38.93 | 2.314 | 10 |
| 45.26 | 2.004 | 30 |
| 56.23 | 1.636 | 39 |
| 65.93 | 1.417 | 18 |
| 74.94 | 1.267 | 17 |

=====

Record 3
Diffraction record for Eu2CrSnO6. The powder X-ray diffraction pattern is computed, not measured: it uses a crystal structure in the Materials Project, relaxed with GGA+U and Cu Kα X-rays.

Atomic structure:
```
10
Lattice="0.0000 4.0004 4.0004 4.0004 0.0000 4.0004 4.0004 4.0004 0.0000" Properties=species:S:1:pos:R:3 pbc="T T T"
Eu 2.0002 2.0002 2.0002
Eu 6.0006 6.0006 6.0006
Cr 0.0000 0.0000 0.0000
Sn 4.0004 4.0004 4.0004
O 4.0004 4.0004 1.9693
O 4.0004 1.9693 4.0004
O 6.0315 4.0004 4.0004
O 1.9693 4.0004 4.0004
O 4.0004 6.0315 4.0004
O 4.0004 4.0004 6.0315
```

Largest 6 diffraction maxima, low angle first, 10° ≤ 2θ ≤ 80°:
| 2theta | d_spacing | I/Imax |
| --- | --- | --- |
| 31.63 | 2.829 | 100 |
| 39.00 | 2.310 | 10 |
| 45.34 | 2.000 | 30 |
| 56.33 | 1.633 | 40 |
| 66.06 | 1.414 | 18 |
| 75.09 | 1.265 | 17 |

=====

Record 4
Diffraction record for Sr2EuCrO6. The powder X-ray diffraction pattern is computed, not measured: it uses a crystal structure in the Materials Project, relaxed with GGA+U and Cu Kα X-rays.

Atomic structure:
```
10
Lattice="0.0000 4.1212 4.1212 4.1212 0.0000 4.1212 4.1212 4.1212 0.0000" Properties=species:S:1:pos:R:3 pbc="T T T"
Sr 2.0606 2.0606 2.0606
Sr 6.1818 6.1818 6.1818
Eu 0.0000 0.0000 0.0000
Cr 4.1212 4.1212 4.1212
O 4.1212 4.1212 2.2305
O 4.1212 2.2305 4.1212
O 6.0119 4.1212 4.1212
O 2.2305 4.1212 4.1212
O 4.1212 6.0119 4.1212
O 4.1212 4.1212 6.0119
```

Largest 6 diffraction maxima, low angle first, 10° ≤ 2θ ≤ 80°:
| 2theta | d_spacing | I/Imax |
| --- | --- | --- |
| 18.65 | 4.759 | 12 |
| 30.68 | 2.914 | 100 |
| 43.94 | 2.061 | 33 |
| 54.54 | 1.682 | 39 |
| 63.89 | 1.457 | 20 |
| 72.53 | 1.303 | 18 |

=====

Record 5
Diffraction record for EuCrTeO6. The powder X-ray diffraction pattern is computed, not measured: it uses a crystal structure in the Materials Project, relaxed with GGA+U and Cu Kα X-rays.

Atomic structure:
```
18
Lattice="5.4811 0.0000 0.0000 -2.7406 4.7468 0.0000 0.0000 0.0000 8.5998" Properties=species:S:1:pos:R:3 pbc="T T T"
Eu 0.0000 3.1645 2.1499
Eu 2.7406 1.5823 6.4498
Cr 0.0000 0.0000 0.0000
Cr 0.0000 0.0000 4.2999
Te 0.0000 3.1645 6.4498
Te 2.7406 1.5823 2.1499
O -0.6781 1.6811 7.5554
O -1.6237 3.3190 5.3442
O 0.6781 1.6811 5.3442
O -0.9456 4.4934 7.5554
O 1.7949 0.2534 3.2556
O 1.1169 1.4278 1.0443
O 1.6237 3.3190 7.5554
O 0.9456 4.4934 5.3442
O 3.6862 0.2534 1.0443
O 2.0625 3.0657 3.2556
O 4.3643 1.4278 3.2556
O 3.4186 3.0657 1.0443
```

Largest 6 diffraction maxima, low angle first, 10° ≤ 2θ ≤ 80°:
| 2theta | d_spacing | I/Imax |
| --- | --- | --- |
| 20.66 | 4.300 | 44 |
| 28.00 | 3.187 | 100 |
| 32.68 | 2.741 | 72 |
| 38.97 | 2.311 | 63 |
| 43.56 | 2.078 | 29 |
| 54.23 | 1.692 | 56 |

=====

Record 6
Diffraction record for EuCrTeO6. The powder X-ray diffraction pattern is computed, not measured: it uses a crystal structure in the Materials Project, relaxed with GGA+U and Cu Kα X-rays.

Atomic structure:
```
18
Lattice="2.5999 -4.4994 0.0000 2.5999 4.4994 0.0000 -0.0262 0.0000 10.2790" Properties=species:S:1:pos:R:3 pbc="T T T"
Eu 0.0000 0.0000 0.0000
Eu -0.0131 0.0000 5.1395
Cr 2.5802 1.4986 7.7092
Cr 2.5933 -1.4986 2.5697
Te 2.5933 1.4972 2.5697
Te 2.5802 -1.4972 7.7092
O 0.9811 1.6491 1.4752
O 1.6565 2.8208 3.6642
O 3.5301 2.8208 1.4753
O 1.9140 0.0291 3.6639
O 0.9679 -1.6491 6.6147
O 1.9009 -0.0291 8.8034
O 3.2726 0.0291 1.4756
O 4.2056 1.6491 3.6643
O 3.2595 -0.0291 6.6151
O 1.6434 -2.8208 8.8037
O 3.5169 -2.8208 6.6148
O 4.1924 -1.6491 8.8038
```

Largest 6 diffraction maxima, low angle first, 10° ≤ 2θ ≤ 80°:
| 2theta | d_spacing | I/Imax |
| --- | --- | --- |
| 26.32 | 3.386 | 100 |
| 34.51 | 2.599 | 33 |
| 43.92 | 2.062 | 23 |
| 49.87 | 1.829 | 21 |
| 49.96 | 1.826 | 18 |
| 57.01 | 1.615 | 16 |

=====

Record 7
Diffraction record for Eu2ZrCrO6. The powder X-ray diffraction pattern is computed, not measured: it uses a crystal structure in the Materials Project, relaxed with GGA+U and Cu Kα X-rays.

Atomic structure:
```
10
Lattice="0.0000 4.0312 4.0312 4.0312 0.0000 4.0312 4.0312 4.0312 0.0000" Properties=species:S:1:pos:R:3 pbc="T T T"
Eu 2.0156 2.0156 2.0156
Eu 6.0468 6.0468 6.0468
Zr 0.0000 0.0000 0.0000
Cr 4.0312 4.0312 4.0312
O 4.0312 4.0312 2.0703
O 4.0312 2.0703 4.0312
O 5.9920 4.0312 4.0312
O 2.0703 4.0312 4.0312
O 4.0312 5.9920 4.0312
O 4.0312 4.0312 5.9920
```

Largest 6 diffraction maxima, low angle first, 10° ≤ 2θ ≤ 80°:
| 2theta | d_spacing | I/Imax |
| --- | --- | --- |
| 31.38 | 2.850 | 100 |
| 38.69 | 2.327 | 14 |
| 44.97 | 2.016 | 31 |
| 55.87 | 1.646 | 39 |
| 65.49 | 1.425 | 19 |
| 74.42 | 1.275 | 17 |

=====

Record 8
Diffraction record for CrF4. The powder X-ray diffraction pattern is computed, not measured: it uses a crystal structure in the Materials Project, relaxed with GGA+U and Cu Kα X-rays.

Atomic structure:
```
20
Lattice="8.6244 0.0000 0.0000 0.0000 8.6244 0.0000 0.0000 0.0000 3.8636" Properties=species:S:1:pos:R:3 pbc="T T T"
Cr 1.1228 1.1228 0.0000
Cr 3.1894 5.4349 1.9318
Cr 5.4349 3.1894 1.9318
Cr 7.5016 7.5016 0.0000
F 0.8317 7.7927 0.0000
F 0.9140 2.8477 0.0000
F 1.0659 1.0659 1.9318
F 1.4645 5.2262 1.9318
F 2.8477 0.9140 0.0000
F 3.2463 5.3781 0.0000
F 3.3982 7.1599 1.9318
F 3.4805 3.4805 1.9318
F 5.1438 5.1438 1.9318
F 5.2262 1.4645 1.9318
F 5.3781 3.2463 0.0000
F 5.7767 7.7103 0.0000
F 7.1599 3.3982 1.9318
F 7.5585 7.5585 1.9318
F 7.7103 5.7767 0.0000
F 7.7927 0.8317 0.0000
```

Largest 6 diffraction maxima, low angle first, 10° ≤ 2θ ≤ 80°:
| 2theta | d_spacing | I/Imax |
| --- | --- | --- |
| 14.52 | 6.098 | 71 |
| 23.06 | 3.857 | 100 |
| 25.26 | 3.526 | 67 |
| 27.33 | 3.264 | 31 |
| 41.90 | 2.156 | 49 |
| 47.04 | 1.932 | 22 |

=====

Record 9
Diffraction record for CrF4. The powder X-ray diffraction pattern is computed, not measured: it uses a crystal structure in the Materials Project, relaxed with GGA+U and Cu Kα X-rays.

Atomic structure:
```
40
Lattice="7.5746 -5.0547 0.0000 7.5746 5.0547 0.0000 -1.6167 0.0000 7.1899" Properties=species:S:1:pos:R:3 pbc="T T T"
Cr 6.7290 2.5765 3.6099
Cr 5.9951 2.5765 7.1750
Cr 4.1492 0.0176 2.8368
Cr 3.3409 -0.0176 6.4318
Cr 10.1916 0.0176 0.7581
Cr 9.3832 -0.0176 4.3531
Cr 7.5373 -2.5765 0.0150
Cr 6.8035 -2.5765 3.5800
F 5.0691 3.9082 6.5333
F 5.1761 3.3629 3.5061
F 3.4319 1.4730 2.2060
F 1.9425 1.0196 6.4493
F 7.6550 3.9082 4.2516
F 7.1704 3.1159 1.7975
F 6.0355 1.4352 0.0041
F 3.8277 0.6136 4.6602
F 9.1647 3.3629 0.0889
F 6.3620 1.9050 5.3925
F 2.7508 -1.0196 2.8543
F 5.8843 0.9443 2.9023
F 4.6361 -0.6136 1.0652
F 2.6236 -1.4730 5.8010
F 8.3053 1.4352 3.5909
F 8.4565 0.9443 0.6927
F 5.0760 -0.9443 6.4973
F 5.2272 -1.4352 3.5990
F 10.9089 1.4730 1.3890
F 8.8964 0.6136 6.1247
F 7.6481 -0.9443 4.2877
F 10.7816 1.0196 4.3356
F 7.1704 -1.9050 1.7975
F 4.3677 -3.3629 7.1010
F 9.7048 -0.6136 2.5297
F 7.4970 -1.4352 7.1859
F 6.3620 -3.1159 5.3925
F 5.8775 -3.9082 2.9384
F 11.5900 -1.0196 0.7406
F 10.1005 -1.4730 4.9839
F 8.3563 -3.3629 3.6839
F 8.4633 -3.9082 0.6566
```

Largest 6 diffraction maxima, low angle first, 10° ≤ 2θ ≤ 80°:
| 2theta | d_spacing | I/Imax |
| --- | --- | --- |
| 10.60 | 8.344 | 37 |
| 20.05 | 4.429 | 40 |
| 21.30 | 4.172 | 100 |
| 24.77 | 3.595 | 21 |
| 25.06 | 3.554 | 32 |
| 51.83 | 1.764 | 19 |

=====

Record 10
Diffraction record for CrF6. The powder X-ray diffraction pattern is computed, not measured: it uses a crystal structure in the Materials Project, relaxed with GGA+U and Cu Kα X-rays.

Atomic structure:
```
7
Lattice="2.6834 1.5493 4.6251 -2.6834 1.5493 4.6251 0.0000 -3.0986 4.6251" Properties=species:S:1:pos:R:3 pbc="T T T"
Cr 0.0000 0.0000 0.0000
F -1.7754 0.4386 5.6401
F -1.2676 -1.3182 8.2351
F 0.5078 -1.7568 5.6401
F -0.5078 1.7568 8.2351
F 1.2676 1.3182 5.6401
F 1.7754 -0.4386 8.2351
```

Largest 6 diffraction maxima, low angle first, 10° ≤ 2θ ≤ 80°:
| 2theta | d_spacing | I/Imax |
| --- | --- | --- |
| 19.19 | 4.625 | 38 |
| 20.15 | 4.407 | 100 |
| 23.03 | 3.861 | 87 |
| 38.80 | 2.321 | 45 |
| 47.07 | 1.931 | 18 |
| 52.22 | 1.752 | 21 |

=====

Record 11
Diffraction record for CrF4. The powder X-ray diffraction pattern is computed, not measured: it uses a crystal structure in the Materials Project, relaxed with GGA+U and Cu Kα X-rays.

Atomic structure:
```
10
Lattice="3.8925 -3.8925 0.0000 3.8925 3.8925 0.0000 -3.8925 0.0000 5.1233" Properties=species:S:1:pos:R:3 pbc="T T T"
Cr 0.0000 0.0000 0.0000
Cr 3.8925 0.0000 0.0000
F -2.5702 0.0000 3.9466
F 0.0000 1.3223 3.9466
F 1.3223 0.0000 1.1767
F 3.8925 1.3223 1.1767
F 0.0000 -1.3223 3.9466
F 2.5702 0.0000 3.9466
F 3.8925 -1.3223 1.1767
F 6.4805 0.0000 1.2761
```

Largest 6 diffraction maxima, low angle first, 10° ≤ 2θ ≤ 80°:
| 2theta | d_spacing | I/Imax |
| --- | --- | --- |
| 17.31 | 5.123 | 73 |
| 22.85 | 3.892 | 100 |
| 28.80 | 3.099 | 64 |
| 37.58 | 2.394 | 36 |
| 48.55 | 1.875 | 37 |
| 64.75 | 1.440 | 24 |

=====

Record 12
Diffraction record for CrF2. The powder X-ray diffraction pattern is computed, not measured: it uses a crystal structure in the Materials Project, relaxed with GGA+U and Cu Kα X-rays.

Atomic structure:
```
6
Lattice="3.5708 0.0000 0.0000 0.0000 4.8015 0.0000 -3.0071 0.0000 4.8268" Properties=species:S:1:pos:R:3 pbc="T T T"
Cr 0.0000 0.0000 0.0000
Cr -1.5036 2.4007 2.4134
F -1.4998 0.9635 3.8481
F 0.0038 1.4373 1.4347
F 0.5599 3.3642 3.3921
F 2.0635 3.8380 0.9787
```

Largest 6 diffraction maxima, low angle first, 10° ≤ 2θ ≤ 80°:
| 2theta | d_spacing | I/Imax |
| --- | --- | --- |
| 26.18 | 3.404 | 100 |
| 29.47 | 3.031 | 32 |
| 31.36 | 2.853 | 33 |
| 46.99 | 1.934 | 23 |
| 50.79 | 1.798 | 21 |
| 53.86 | 1.702 | 21 |